# 1
# Li2VNiP2O8
Computed X-ray powder pattern, λ = 1.5418 Å (Cu Kα). Input: a PBE+U-relaxed structure.

The 12 most intense peaks (2θ from 10° to 80°), sorted by position:
- 5.168 Å, I = 30
- 4.318 Å, I = 49
- 3.921 Å, I = 22
- 3.508 Å, I = 78
- 3.010 Å, I = 59
- 2.789 Å, I = 18
- 2.531 Å, I = 100
- 2.469 Å, I = 26
- 2.160 Å, I = 20
- 1.754 Å, I = 35
- 1.629 Å, I = 23
- 1.495 Å, I = 17

```
Li2VNiP2O8
1.0
4.7525 0.0000 0.0000
0.0000 6.0194 0.0000
-0.0198 0.0000 10.3350
Li V Ni P O
4 2 2 4 16
direct
0.0000 0.0000 0.0000 Li
0.0000 0.5000 0.0000 Li
0.5000 0.0000 0.5000 Li
0.5000 0.5000 0.5000 Li
0.0157 0.2500 0.2733 V
0.9843 0.7500 0.7267 V
0.4826 0.2500 0.7771 Ni
0.5174 0.7500 0.2229 Ni
0.0900 0.7500 0.4039 P
0.4202 0.7500 0.9105 P
0.5798 0.2500 0.0895 P
0.9100 0.2500 0.5961 P
0.2049 0.7500 0.5447 O
0.2323 0.5464 0.3345 O
0.2323 0.9536 0.3345 O
0.2333 0.2500 0.6039 O
0.2568 0.2500 0.0922 O
0.2849 0.5438 0.8391 O
0.2849 0.9562 0.8391 O
0.2965 0.7500 0.0493 O
0.7035 0.2500 0.9507 O
0.7151 0.0438 0.1609 O
0.7151 0.4562 0.1609 O
0.7432 0.7500 0.9078 O
0.7667 0.7500 0.3961 O
0.7677 0.0464 0.6655 O
0.7677 0.4536 0.6655 O
0.7951 0.2500 0.4553 O
```

# 2
# Mg14VZnO16
Computed X-ray powder pattern, λ = 1.5418 Å (Cu Kα). Input: a PBE+U-relaxed structure.

The 12 most intense peaks (2θ from 10° to 80°), sorted by position:
- 8.550 Å, I = 9
- 4.278 Å, I = 6
- 3.826 Å, I = 6
- 3.025 Å, I = 5
- 2.852 Å, I = 4
- 2.470 Å, I = 18
- 2.139 Å, I = 100
- 2.075 Å, I = 2
- 1.913 Å, I = 3
- 1.512 Å, I = 57
- 1.290 Å, I = 10
- 1.235 Å, I = 17

```
Mg14VZnO16
1.0
4.2808 0.0000 0.0000
0.0000 8.5494 0.0000
0.0000 0.0000 8.5546
Mg V Zn O
14 1 1 16
direct
0.0000 0.0000 0.0000 Mg
0.0000 0.0000 0.5000 Mg
0.0000 0.2497 0.2495 Mg
0.0000 0.2497 0.7505 Mg
0.0000 0.7503 0.2495 Mg
0.0000 0.7503 0.7505 Mg
0.5000 0.0000 0.2500 Mg
0.5000 0.0000 0.7500 Mg
0.5000 0.2492 0.5000 Mg
0.5000 0.2502 0.0000 Mg
0.5000 0.5000 0.2490 Mg
0.5000 0.5000 0.7510 Mg
0.5000 0.7498 0.0000 Mg
0.5000 0.7508 0.5000 Mg
0.0000 0.5000 0.5000 V
0.0000 0.5000 0.0000 Zn
0.0000 0.0000 0.2498 O
0.0000 0.0000 0.7502 O
0.0000 0.2449 0.5000 O
0.0000 0.2459 0.0000 O
0.0000 0.5000 0.2478 O
0.0000 0.5000 0.7522 O
0.0000 0.7541 0.0000 O
0.0000 0.7551 0.5000 O
0.5000 0.0000 0.0000 O
0.5000 0.0000 0.5000 O
0.5000 0.2508 0.2500 O
0.5000 0.2508 0.7500 O
0.5000 0.5000 0.0000 O
0.5000 0.5000 0.5000 O
0.5000 0.7492 0.2500 O
0.5000 0.7492 0.7500 O
```

# 3
# LiCo3O4
Computed X-ray powder pattern, λ = 1.5418 Å (Cu Kα). Input: a PBE+U-relaxed structure.

The 12 most intense peaks (2θ from 10° to 80°), sorted by position:
- 4.323 Å, I = 18
- 3.769 Å, I = 60
- 2.961 Å, I = 14
- 2.443 Å, I = 80
- 2.162 Å, I = 54
- 2.094 Å, I = 100
- 1.830 Å, I = 14
- 1.504 Å, I = 59
- 1.481 Å, I = 28
- 1.296 Å, I = 12
- 1.266 Å, I = 21
- 1.222 Å, I = 27

```
LiCo3O4
1.0
-2.0939 2.0939 4.3232
2.0939 -2.0939 4.3232
2.0939 2.0939 -4.3232
Li Co O
1 3 4
direct
0.0000 0.0000 0.0000 Li
0.2500 0.7500 0.5000 Co
0.5000 0.5000 0.0000 Co
0.7500 0.2500 0.5000 Co
0.0000 0.5000 0.5000 O
0.2671 0.2671 0.0000 O
0.5000 0.0000 0.5000 O
0.7329 0.7329 0.0000 O
```

# 4
# Er2MgCr2O8
Computed X-ray powder pattern, λ = 1.5418 Å (Cu Kα). Input: a PBE+U-relaxed structure.

The 12 most intense peaks (2θ from 10° to 80°), sorted by position:
- 4.808 Å, I = 48
- 3.677 Å, I = 100
- 2.893 Å, I = 17
- 2.722 Å, I = 45
- 2.700 Å, I = 34
- 2.640 Å, I = 17
- 2.287 Å, I = 22
- 1.888 Å, I = 30
- 1.865 Å, I = 33
- 1.838 Å, I = 17
- 1.540 Å, I = 12
- 1.458 Å, I = 14

```
Er2MgCr2O8
1.0
3.1771 -5.1226 0.0000
3.1771 5.1226 0.0000
-3.1736 0.0000 5.2809
Er Mg Cr O
2 1 2 8
direct
0.0000 0.0000 0.0000 Er
0.7199 0.2801 0.5000 Er
0.0081 0.9919 0.5000 Mg
0.2742 0.7258 0.5000 Cr
0.4971 0.5029 0.0000 Cr
0.0599 0.7605 0.6590 O
0.0730 0.3589 0.3331 O
0.1267 0.3153 0.8034 O
0.2395 0.9401 0.3410 O
0.4843 0.3098 0.1759 O
0.6411 0.9270 0.6669 O
0.6847 0.8733 0.1966 O
0.6902 0.5157 0.8241 O
```

# 5
# Li9Mn2Co5O16
Computed X-ray powder pattern, λ = 1.5418 Å (Cu Kα). Input: a PBE+U-relaxed structure.

The 12 most intense peaks (2θ from 10° to 80°), sorted by position:
- 4.831 Å, I = 100
- 2.551 Å, I = 15
- 2.503 Å, I = 13
- 2.479 Å, I = 13
- 2.413 Å, I = 12
- 2.129 Å, I = 29
- 2.070 Å, I = 26
- 2.058 Å, I = 26
- 1.487 Å, I = 15
- 1.480 Å, I = 7
- 1.473 Å, I = 8
- 1.455 Å, I = 7

```
Li9Mn2Co5O16
1.0
2.9471 0.0000 0.0000
-0.1345 5.0947 0.0000
-0.4007 -1.4186 19.3226
Li Mn Co O
9 2 5 16
direct
0.0000 0.0000 0.0000 Li
0.9998 0.2676 0.7485 Li
0.0025 0.7486 0.2534 Li
0.4896 0.9987 0.5099 Li
0.4937 0.2641 0.2546 Li
0.4991 0.3800 0.6290 Li
0.4999 0.4955 0.0004 Li
0.5105 0.7611 0.7474 Li
0.9903 0.4975 0.5137 Li
0.4986 0.8790 0.1281 Mn
0.9970 0.1304 0.3805 Mn
0.0004 0.6314 0.8754 Co
0.0002 0.8805 0.6283 Co
0.4968 0.6303 0.3809 Co
0.5007 0.1311 0.8756 Co
0.9977 0.3781 0.1278 Co
0.0001 0.8291 0.4350 O
0.0011 0.1514 0.5736 O
0.0177 0.9591 0.8193 O
0.0421 0.6737 0.0698 O
0.4827 0.9732 0.3241 O
0.4856 0.8050 0.9337 O
0.4898 0.1803 0.0708 O
0.4907 0.7081 0.5728 O
0.5042 0.5790 0.1871 O
0.5102 0.2884 0.4368 O
0.5114 0.0494 0.6825 O
0.5198 0.4564 0.8174 O
0.9540 0.0828 0.1871 O
0.9825 0.3072 0.9340 O
0.9956 0.4317 0.3240 O
0.9993 0.6118 0.6827 O
```

# 6
# MgTe3WO12
Computed X-ray powder pattern, λ = 1.5418 Å (Cu Kα). Input: a PBE+U-relaxed structure.

The 12 most intense peaks (2θ from 10° to 80°), sorted by position:
- 3.851 Å, I = 50
- 3.802 Å, I = 100
- 2.780 Å, I = 19
- 2.771 Å, I = 19
- 2.753 Å, I = 19
- 2.664 Å, I = 14
- 2.642 Å, I = 14
- 2.604 Å, I = 14
- 1.926 Å, I = 9
- 1.903 Å, I = 9
- 1.898 Å, I = 9
- 1.746 Å, I = 14

```
MgTe3WO12
1.0
5.2092 0.0000 0.0000
-0.0100 5.5701 0.0000
-0.0778 -0.4535 7.7028
Mg Te W O
1 3 1 12
direct
0.0000 0.0000 0.0000 Mg
0.0049 0.5757 0.7021 Te
0.0069 0.5749 0.2139 Te
0.4947 0.0919 0.7244 Te
0.5057 0.0918 0.2321 W
0.0923 0.6207 0.9689 O
0.1958 0.2716 0.6508 O
0.1984 0.9114 0.2441 O
0.3203 0.7968 0.6560 O
0.3265 0.3961 0.2589 O
0.3690 0.0984 0.9641 O
0.6021 0.0901 0.4614 O
0.6850 0.3874 0.7679 O
0.7100 0.8173 0.1548 O
0.8039 0.9190 0.7793 O
0.8169 0.2712 0.1458 O
0.8981 0.5873 0.4516 O
```